Calculated powder X-ray diffraction pattern
Compound: Pm4DyHo6
Radiation: a wavelength of 1.5418 Å
Structure: a structure optimized by DFT (GGA-PBE)
Neutral-atom scattering factors, no anomalous dispersion.

Structure:
Cell lengths 6.6249, 6.6249, 16.9869 Å; angles 90.00, 90.00, 90.00 degrees
Space group I-42m (No. 121)
Unique sites:
1 Pm 0.1892 0.1892 0.1753 (multiplicity 8)
2 Dy 0.0000 0.0000 0.0000 (multiplicity 2)
3 Ho 0.0000 0.5000 0.0000 (multiplicity 4)
4 Ho 0.1782 0.1782 0.3742 (multiplicity 8)

Peak list (8 most intense, 10 to 80 degrees two-theta, in order of falling intensity)
h k l  2theta  Rel. int.
2 1 1  30.6  100
2 0 4  34.3  79
2 0 2  28.9  65
1 1 4  28.4  40
2 1 5  40.4  35
2 2 0  38.4  30
1 1 6  37.1  30
1 0 5  29.5  30

Calculated powder X-ray diffraction pattern
Compound: Pm5DyHo5
Radiation: a wavelength of 1.5418 Å
Structure: a structure optimized by DFT (GGA-PBE)
Neutral-atom scattering factors, no anomalous dispersion.

Structure:
Cell lengths 6.1196, 6.1196, 11.4709 Å; angles 90.00, 90.00, 120.00 degrees
Space group P-6m2 (No. 187)
Unique sites:
1 Pm 0.0000 0.0000 0.2378 (multiplicity 2)
2 Pm 0.3400 0.1700 0.0000 (multiplicity 3)
3 Dy 0.3333 0.6667 0.5000 (multiplicity 1)
4 Ho 0.0000 0.0000 0.5000 (multiplicity 1)
5 Ho 0.3333 0.6667 0.1811 (multiplicity 2)
6 Ho 0.6667 0.3333 0.3418 (multiplicity 2)

Peak list (8 most intense, 10 to 80 degrees two-theta, in order of falling intensity)
h k l  2theta  Rel. int.
1 0 3  28.8  100
1 1 0  29.2  89
2 1 3  51.5  38
1 1 1  30.2  31
2 0 1  34.7  30
1 0 4  35.6  28
2 2 0  60.5  26
1 1 2  33.2  21

Calculated powder X-ray diffraction pattern
Compound: Pm2Dy3Ho2
Radiation: a wavelength of 1.5418 Å
Structure: a structure optimized by DFT (GGA-PBE)
Neutral-atom scattering factors, no anomalous dispersion.

Structure:
Cell lengths 3.5692, 6.1616, 10.7070 Å; angles 84.52, 89.97, 73.24 degrees
Space group P-1 (No. 2)
Unique sites:
1 Pm 0.2151 0.0707 0.3553 (multiplicity 2)
2 Dy 0.3571 0.7853 0.9297 (multiplicity 2)
3 Dy 0.5000 0.5000 0.5000 (multiplicity 1)
4 Ho 0.0707 0.3586 0.7880 (multiplicity 2)

Peak list (8 most intense, 10 to 80 degrees two-theta, in order of falling intensity)
h k l  2theta  Rel. int.
1 1 2  30.7  100
1 2 -1  35.6  51
2 0 3  60.9  25
2 1 0  51.2  18
1 3 3  51.3  18
2 3 1  61.0  14
2 2 4  63.9  9
2 -2 2  75.4  4

What did the second record say?
Calculated powder X-ray diffraction pattern
Compound: Pm5DyHo5
Radiation: a wavelength of 1.5418 Å
Structure: a structure optimized by DFT (GGA-PBE)
Neutral-atom scattering factors, no anomalous dispersion.

Structure:
Cell lengths 6.1196, 6.1196, 11.4709 Å; angles 90.00, 90.00, 120.00 degrees
Space group P-6m2 (No. 187)
Unique sites:
1 Pm 0.0000 0.0000 0.2378 (multiplicity 2)
2 Pm 0.3400 0.1700 0.0000 (multiplicity 3)
3 Dy 0.3333 0.6667 0.5000 (multiplicity 1)
4 Ho 0.0000 0.0000 0.5000 (multiplicity 1)
5 Ho 0.3333 0.6667 0.1811 (multiplicity 2)
6 Ho 0.6667 0.3333 0.3418 (multiplicity 2)

Peak list (8 most intense, 10 to 80 degrees two-theta, in order of falling intensity)
h k l  2theta  Rel. int.
1 0 3  28.8  100
1 1 0  29.2  89
2 1 3  51.5  38
1 1 1  30.2  31
2 0 1  34.7  30
1 0 4  35.6  28
2 2 0  60.5  26
1 1 2  33.2  21